Diffraction record for PrDy7Y3. The powder diffraction line list is simulated, not measured: it uses a DFT-relaxed cell (PBE, Alexandria) and Cu Kα, 1.54184 Å.

Crystal structure
Cell lengths 7.004, 5.568, 9.914 Å; angles 90.00, 110.16, 90.00 degrees
Space group P2/m (No. 10)
Asymmetric unit:
Pr  0.000  0.000  0.000 [1 per cell]
Dy  0.000  0.000  0.500 [1 per cell]
Dy  0.146  0.500  0.791 [2 per cell]
Dy  0.326  0.500  0.143 [2 per cell]
Dy  0.421  0.000  0.332 [2 per cell]
Y  0.277  0.500  0.498 [2 per cell]
Y  0.500  0.000  0.000 [1 per cell]

Main lines, sorted by position (10 to 90 degrees two-theta):
2θ 25.44, d = 3.502 Å, rel. 26.6, (2 0 -1)
2θ 31.57, d = 2.834 Å, rel. 100.0, (2 1 0)
2θ 31.73, d = 2.820 Å, rel. 90.8, (2 1 -2)
2θ 32.15, d = 2.784 Å, rel. 84.5, (0 2 0)
2θ 33.06, d = 2.710 Å, rel. 63.5, (0 1 3)
2θ 56.96, d = 1.617 Å, rel. 20.3, (2 3 0)

---

Diffraction record for SrLiCd2. The powder diffraction line list is simulated, not measured: it uses a DFT-relaxed cell (PBE, Alexandria) and Cu Kα, 1.54184 Å.

Crystal structure
Cell lengths 8.446, 4.863, 6.140 Å; angles 90.00, 116.96, 90.00 degrees
Space group Cm (No. 8)
Asymmetric unit:
Sr  0.000  0.000  0.000 [2 per cell]
Li  0.301  0.500  0.402 [2 per cell]
Cd  0.206  0.000  0.617 [2 per cell]
Cd  0.486  0.000  0.457 [2 per cell]

Main lines, sorted by position (10 to 90 degrees two-theta):
2θ 16.20, d = 5.473 Å, rel. 35.9, (0 0 1)
2θ 21.76, d = 4.085 Å, rel. 50.3, (1 1 0)
2θ 30.35, d = 2.945 Å, rel. 87.8, (1 1 1)
2θ 30.46, d = 2.935 Å, rel. 43.5, (2 0 -2)
2θ 36.92, d = 2.435 Å, rel. 100.0, (0 2 0)
2θ 48.63, d = 1.872 Å, rel. 22.9, (2 2 -2)

---

Diffraction record for Ta14NbSb. The powder diffraction line list is simulated, not measured: it uses a DFT-relaxed cell (PBE, Alexandria) and Cu Kα, 1.54184 Å.

Crystal structure
Cell lengths 6.635, 9.438, 9.418 Å; angles 90.00, 90.00, 90.00 degrees
Space group Cmmm (No. 65)
Asymmetric unit:
Ta  0.000  0.000  0.000 [2 per cell]
Ta  0.000  0.248  0.249 [8 per cell]
Ta  0.000  0.500  0.000 [2 per cell]
Ta  0.242  0.500  0.245 [8 per cell]
Ta  0.250  0.250  0.000 [4 per cell]
Ta  0.250  0.250  0.500 [4 per cell]
Nb  0.000  0.500  0.500 [2 per cell]
Sb  0.000  0.000  0.500 [2 per cell]

Main lines, sorted by position (10 to 90 degrees two-theta):
2θ 38.18, d = 2.357 Å, rel. 50.4, (0 4 0)
2θ 38.28, d = 2.351 Å, rel. 100.0, (2 2 2)
2θ 55.10, d = 1.667 Å, rel. 17.6, (0 4 4)
2θ 69.02, d = 1.361 Å, rel. 17.9, (2 6 2)
2θ 69.13, d = 1.359 Å, rel. 17.7, (2 2 6)
2θ 69.27, d = 1.357 Å, rel. 17.6, (4 4 0)

---

Diffraction record for DyMn6Al6. The powder diffraction line list is simulated, not measured: it uses a DFT-relaxed cell (PBE, Alexandria) and Cu Kα, 1.54184 Å.

Crystal structure
Cell lengths 4.923, 8.600, 8.801 Å; angles 90.00, 90.00, 90.00 degrees
Space group Immm (No. 71)
Asymmetric unit:
Dy  0.000  0.000  0.000 [2 per cell]
Mn  0.000  0.264  0.500 [4 per cell]
Mn  0.250  0.250  0.250 [8 per cell]
Al  0.000  0.000  0.347 [4 per cell]
Al  0.000  0.338  0.000 [4 per cell]
Al  0.000  0.500  0.303 [4 per cell]

Main lines, sorted by position (10 to 90 degrees two-theta):
2θ 14.40, d = 6.151 Å, rel. 56.5, (0 1 1)
2θ 29.09, d = 3.070 Å, rel. 53.6, (0 2 2)
2θ 29.39, d = 3.039 Å, rel. 52.9, (1 2 1)
2θ 41.02, d = 2.200 Å, rel. 36.8, (0 0 4)
2θ 41.54, d = 2.174 Å, rel. 62.0, (1 2 3)
2θ 42.05, d = 2.149 Å, rel. 100.0, (0 4 0)

---

Diffraction record for La4Tb2ErSc. The powder diffraction line list is simulated, not measured: it uses a DFT-relaxed cell (PBE, Alexandria) and Cu Kα, 1.54184 Å.

Crystal structure
Cell lengths 5.192, 5.213, 9.803 Å; angles 90.00, 90.00, 90.00 degrees
Space group Pmmm (No. 47)
Asymmetric unit:
La  0.000  0.000  0.245 [2 per cell]
La  0.500  0.500  0.246 [2 per cell]
Tb  0.000  0.500  0.000 [1 per cell]
Tb  0.500  0.000  0.500 [1 per cell]
Er  0.000  0.500  0.500 [1 per cell]
Sc  0.500  0.000  0.000 [1 per cell]

Main lines, sorted by position (10 to 90 degrees two-theta):
2θ 30.38, d = 2.942 Å, rel. 100.0, (1 1 2)
2θ 34.41, d = 2.607 Å, rel. 18.0, (0 2 0)
2θ 34.55, d = 2.596 Å, rel. 17.8, (2 0 0)
2θ 36.67, d = 2.451 Å, rel. 15.0, (0 0 4)
2θ 59.15, d = 1.562 Å, rel. 15.0, (1 3 2)
2θ 59.34, d = 1.557 Å, rel. 15.0, (3 1 2)

---

Diffraction record for Y4BiSe3. The powder diffraction line list is simulated, not measured: it uses a DFT-relaxed cell (PBE, Alexandria) and Cu Kα, 1.54184 Å.

Crystal structure
Cell lengths 8.418, 11.847, 4.178 Å; angles 90.00, 90.00, 90.00 degrees
Space group Cmmm (No. 65)
Asymmetric unit:
Y  0.000  0.241  0.000 [4 per cell]
Y  0.230  0.000  0.500 [4 per cell]
Bi  0.000  0.500  0.000 [2 per cell]
Se  0.000  0.000  0.000 [2 per cell]
Se  0.250  0.250  0.500 [4 per cell]

Main lines, sorted by position (10 to 90 degrees two-theta):
2θ 30.15, d = 2.964 Å, rel. 100.0, (2 0 1)
2θ 43.17, d = 2.095 Å, rel. 48.8, (2 4 1)
2θ 43.32, d = 2.089 Å, rel. 12.4, (0 0 2)
2θ 53.41, d = 1.716 Å, rel. 12.5, (4 4 0)
2θ 53.70, d = 1.707 Å, rel. 12.9, (0 4 2)
2θ 71.14, d = 1.325 Å, rel. 21.0, (2 8 1)